Diffraction record for Ho2PdPt2. The X-ray powder pattern is calculated, not measured: it uses a structure optimized by DFT (PBE) and Cu Kα, 1.54184 Å.
No peak broadening, texture or thermal motion is included.

Principal peaks in the range 10 to 90 degrees two-theta, in order of falling intensity:
2θ/deg	I/Imax	hkl
36.15	100	2 1 2
37.93	35	3 1 0
63.82	15	3 1 4
34.05	15	2 0 2
72.52	14	5 2 2
49.28	13	0 0 4
16.72	12	1 1 0
56.36	10	4 1 2
83.55	9	2 1 6
43.50	8	3 2 0

Structural model:
Cell lengths 7.501, 7.501, 7.397 Å; angles 90.00, 90.00, 90.00 degrees
Fractional coordinates of all 20 atoms:
Ho: 0.172 0.328 0.000
Ho: 0.172 0.328 0.500
Ho: 0.328 0.828 0.000
Ho: 0.328 0.828 0.500
Ho: 0.672 0.172 0.000
Ho: 0.672 0.172 0.500
Ho: 0.828 0.672 0.000
Ho: 0.828 0.672 0.500
Pd: 0.000 0.000 0.249
Pd: 0.000 0.000 0.751
Pd: 0.500 0.500 0.251
Pd: 0.500 0.500 0.749
Pt: 0.131 0.631 0.250
Pt: 0.131 0.631 0.750
Pt: 0.369 0.131 0.250
Pt: 0.369 0.131 0.750
Pt: 0.631 0.869 0.250
Pt: 0.631 0.869 0.750
Pt: 0.869 0.369 0.250
Pt: 0.869 0.369 0.750